No. 1
Theoretical XRD peak list of SmEuTc4 for copper Kα, from DFT lattice parameters and positions (PBE).
Kinematic intensities with the Lorentz-polarization factor, no thermal factor.

Main lines, sorted by position (10° ≤ 2θ ≤ 80°):
- d = 2.729 Å, I 42
- d = 2.327 Å, I 100
- d = 2.228 Å, I 27
- d = 1.930 Å, I 1
- d = 1.576 Å, I 16
- d = 1.485 Å, I 32
- d = 1.364 Å, I 26
- d = 1.220 Å, I 7

Atomic structure:
Cell lengths 5.4579, 5.4579, 5.4579 Å; angles 60.00, 60.00, 60.00 degrees
Atoms (fractional coordinates):
Sm (0.0000, 0.0000, 0.0000)
Eu (0.7500, 0.7500, 0.7500)
Tc (0.3749, 0.3749, 0.3749)
Tc (0.3749, 0.3749, 0.8752)
Tc (0.3749, 0.8752, 0.3749)
Tc (0.8752, 0.3749, 0.3749)



No. 2
Theoretical XRD peak list of Co3HgBr9 for copper Kα, from DFT lattice parameters and positions (PBE).
Kinematic intensities with the Lorentz-polarization factor, no thermal factor.

Main lines, sorted by position (10° ≤ 2θ ≤ 80°):
- d = 7.605 Å, I 46
- d = 7.247 Å, I 41
- d = 5.202 Å, I 100
- d = 4.254 Å, I 31
- d = 4.097 Å, I 35
- d = 3.624 Å, I 44
- d = 3.239 Å, I 26
- d = 3.207 Å, I 93
- d = 3.159 Å, I 72
- d = 2.150 Å, I 26

Atomic structure:
Cell lengths 10.9994, 10.9994, 14.0901 Å; angles 129.21, 129.21, 48.14 degrees
Atoms (fractional coordinates):
Co (0.0534, 0.3476, 0.6072)
Co (0.1216, 0.5461, 0.1166)
Co (0.1354, 0.8646, 0.5000)
Co (0.3476, 0.0534, 0.1072)
Co (0.5461, 0.1216, 0.6166)
Co (0.8646, 0.1354, 0.0000)
Hg (0.6540, 0.7815, 0.8399)
Hg (0.7815, 0.6540, 0.3399)
Br (0.0531, 0.8327, 0.2854)
Br (0.0600, 0.7264, 0.5213)
Br (0.1749, 0.9848, 0.1011)
Br (0.2424, 0.3650, 0.2232)
Br (0.3186, 0.4910, 0.0684)
Br (0.3422, 0.9502, 0.9009)
Br (0.3650, 0.2424, 0.7232)
Br (0.4474, 0.7255, 0.5831)
Br (0.4910, 0.3186, 0.5684)
Br (0.5281, 0.8584, 0.4398)
Br (0.6302, 0.9331, 0.2492)
Br (0.7255, 0.4474, 0.0831)
Br (0.7264, 0.0600, 0.0213)
Br (0.8327, 0.0531, 0.7854)
Br (0.8584, 0.5281, 0.9398)
Br (0.9331, 0.6302, 0.7492)
Br (0.9502, 0.3422, 0.4009)
Br (0.9848, 0.1749, 0.6011)



No. 3
Theoretical XRD peak list of TiGa3Cu3 for copper Kα, from DFT lattice parameters and positions (PBE).
Kinematic intensities with the Lorentz-polarization factor, no thermal factor.

Main lines, sorted by position (10° ≤ 2θ ≤ 80°):
- d = 6.519 Å, I 5
- d = 3.764 Å, I 2
- d = 2.783 Å, I 3
- d = 2.464 Å, I 27
- d = 2.117 Å, I 100
- d = 2.067 Å, I 22
- d = 1.584 Å, I 13
- d = 1.423 Å, I 15
- d = 1.232 Å, I 2
- d = 1.203 Å, I 14

Atomic structure:
Cell lengths 7.5277, 7.5277, 4.1341 Å; angles 90.00, 90.00, 120.00 degrees
Atoms (fractional coordinates):
Ti (0.3333, 0.6667, 0.2500)
Ti (0.6667, 0.3333, 0.7500)
Ga (0.0803, 0.4437, 0.7500)
Ga (0.3634, 0.9197, 0.7500)
Ga (0.4437, 0.3634, 0.2500)
Ga (0.5563, 0.6366, 0.7500)
Ga (0.6366, 0.0803, 0.2500)
Ga (0.9197, 0.5563, 0.2500)
Cu (0.0454, 0.2256, 0.2500)
Cu (0.1802, 0.9546, 0.2500)
Cu (0.2256, 0.1802, 0.7500)
Cu (0.7744, 0.8198, 0.2500)
Cu (0.8198, 0.0454, 0.7500)
Cu (0.9546, 0.7744, 0.7500)



No. 4
Theoretical XRD peak list of HoEr4Tm10 for copper Kα, from DFT lattice parameters and positions (PBE).
Kinematic intensities with the Lorentz-polarization factor, no thermal factor.

Main lines, sorted by position (10° ≤ 2θ ≤ 80°):
- d = 4.363 Å, I 25
- d = 3.779 Å, I 14
- d = 2.672 Å, I 100
- d = 2.279 Å, I 14
- d = 1.889 Å, I 18
- d = 1.734 Å, I 6
- d = 1.690 Å, I 6
- d = 1.543 Å, I 38
- d = 1.454 Å, I 5
- d = 1.336 Å, I 12

Atomic structure:
Cell lengths 9.2571, 9.2571, 9.2571 Å; angles 99.58, 99.58, 131.85 degrees
Atoms (fractional coordinates):
Ho (0.0000, 0.0000, 0.0000)
Er (0.1996, 0.6001, 0.7997)
Er (0.3999, 0.1996, 0.5996)
Er (0.6001, 0.8004, 0.4004)
Er (0.8004, 0.3999, 0.2003)
Tm (0.0506, 0.1505, 0.6999)
Tm (0.1505, 0.4506, 0.0999)
Tm (0.2500, 0.7500, 0.5000)
Tm (0.3507, 0.0506, 0.9001)
Tm (0.4506, 0.3507, 0.3001)
Tm (0.5494, 0.6493, 0.6999)
Tm (0.6493, 0.9494, 0.0999)
Tm (0.7500, 0.2500, 0.5000)
Tm (0.8495, 0.5494, 0.9001)
Tm (0.9494, 0.8495, 0.3001)